Co2HgO4: theoretical X-ray powder pattern (Cu Kα), based on a crystal structure in the Materials Project, relaxed with PBE+U.
Kinematic intensities with the Lorentz-polarization factor, no thermal factor.

```
data_Co2HgO4
_chemical_formula_sum 'Co8 Hg4 O16'
_symmetry_space_group_name_H-M 'P m m n'
_symmetry_Int_Tables_number 59
_cell_length_a 5.691
_cell_length_b 11.565
_cell_length_c 4.904
_cell_angle_alpha 90.00
_cell_angle_beta 90.00
_cell_angle_gamma 90.00
loop_
_symmetry_equiv_pos_as_xyz
'x,y,z'
'-x,-y,-z'
'-x+1/2,-y+1/2,z'
'x+1/2,y+1/2,-z'
'x+1/2,-y,-z'
'-x+1/2,y,z'
'-x,y+1/2,-z'
'x,-y+1/2,z'
loop_
_atom_site_label
_atom_site_fract_x
_atom_site_fract_y
_atom_site_fract_z
Co1 0.000 0.000 0.000
Co2 0.250 0.006 0.496
Hg1 0.250 0.250 0.887
Hg2 0.250 0.750 0.568
O1 0.001 0.088 0.667
O2 0.250 0.086 0.152
O3 0.250 0.583 0.822
```

Most intense lines, 2θ from 10° to 90°, in order of rising 2θ:
h k l  Position (°2θ)  I_rel
1 0 1  23.95  23
1 1 1  25.18  100
1 2 1  28.56  30
0 4 0  30.93  44
2 0 0  31.44  21
1 3 1  33.50  52
2 2 0  35.15  31
0 3 2  43.76  22